Entry 1:
Computed powder XRD pattern
Compound: BaSc2Si3O10
Radiation: Cu Ka
Structure: DFT lattice parameters and positions (PBE)
Kinematic intensities with the Lorentz-polarization factor, no thermal factor.

Crystal structure
```
data_BaSc2Si3O10
_chemical_formula_sum 'Ba2 Sc4 Si6 O20'
_symmetry_space_group_name_H-M 'P 1 21/m 1'
_symmetry_Int_Tables_number 11
_cell_length_a 5.338
_cell_length_b 12.084
_cell_length_c 6.659
_cell_angle_alpha 90.00
_cell_angle_beta 106.93
_cell_angle_gamma 90.00
loop_
_symmetry_equiv_pos_as_xyz
'x,y,z'
'-x,-y,-z'
'-x,y+1/2,-z'
'x,-y+1/2,z'
loop_
_atom_site_label
_atom_site_type_symbol
_atom_site_fract_x
_atom_site_fract_y
_atom_site_fract_z
_atom_site_occupancy
Ba1 Ba 0.239 0.250 0.478 1
Sc1 Sc 0.154 0.601 0.178 1
Si1 Si 0.302 0.554 0.710 1
Si2 Si 0.429 0.250 0.013 1
O1 O 0.100 0.542 0.857 1
O2 O 0.125 0.250 0.865 1
O3 O 0.150 0.612 0.486 1
O4 O 0.343 0.750 0.106 1
O5 O 0.458 0.060 0.702 1
O6 O 0.462 0.143 0.171 1
```

Peak list (8 most intense, 2θ from 15° to 90°, low angle first)
| Position (°2θ) | intensity |
| --- | --- |
| 20.25 | 29 |
| 26.40 | 38 |
| 28.22 | 100 |
| 29.17 | 22 |
| 29.36 | 64 |
| 31.76 | 47 |
| 33.81 | 26 |
| 41.16 | 22 |


Entry 2:
Computed powder XRD pattern
Compound: Ba2Sm3Si3SeO12
Radiation: Cu Ka
Structure: DFT lattice parameters and positions (PBE)
Kinematic intensities with the Lorentz-polarization factor, no thermal factor.

Crystal structure
```
data_Ba2Sm3Si3SeO12
_chemical_formula_sum 'Ba4 Sm6 Si6 Se2 O24'
_symmetry_space_group_name_H-M 'P 63/m'
_symmetry_Int_Tables_number 176
_symmetry_space_group_name_Hall '-P 6c'
_cell_length_a 10.1004
_cell_length_b 10.1004
_cell_length_c 7.2053
_cell_angle_alpha 90.00
_cell_angle_beta 90.00
_cell_angle_gamma 120.00
loop_
_atom_site_label
_atom_site_type_symbol
_atom_site_fract_x
_atom_site_fract_y
_atom_site_fract_z
_atom_site_occupancy
Ba1 Ba 0.3333 0.6667 0.0018 1
Sm1 Sm 0.0044 0.7379 0.7500 1
Si1 Si 0.0207 0.6391 0.2500 1
Se1 Se 0.0000 0.0000 0.0000 1
O1 O 0.0809 0.5137 0.2500 1
O2 O 0.0988 0.7532 0.0692 1
O3 O 0.1657 0.4452 0.7500 1
```

Peak list (8 most intense, 2θ from 15° to 90°, low angle first)
| Position (°2θ) | intensity |
| --- | --- |
| 21.49 | 38 |
| 29.73 | 60 |
| 30.48 | 100 |
| 30.66 | 65 |
| 43.78 | 36 |
| 46.75 | 20 |
| 47.00 | 25 |
| 48.71 | 21 |


Entry 3:
Computed powder XRD pattern
Compound: BaSrSmSeO6
Radiation: Cu Ka
Structure: DFT lattice parameters and positions (PBE)
Kinematic intensities with the Lorentz-polarization factor, no thermal factor.

Crystal structure
```
data_BaSrSmSeO6
_chemical_formula_sum 'Ba4 Sr4 Sm4 Se4 O24'
_symmetry_space_group_name_H-M 'F -4 3 m'
_symmetry_Int_Tables_number 216
_symmetry_space_group_name_Hall 'F -4 2 3'
_cell_length_a 8.447
_cell_length_b 8.447
_cell_length_c 8.447
_cell_angle_alpha 90.00
_cell_angle_beta 90.00
_cell_angle_gamma 90.00
loop_
_atom_site_label
_atom_site_type_symbol
_atom_site_fract_x
_atom_site_fract_y
_atom_site_fract_z
_atom_site_occupancy
Ba1 Ba 0.000 0.000 0.000 1
Sr1 Sr 0.000 0.000 0.500 1
Sm1 Sm 0.250 0.250 0.250 1
Se1 Se 0.250 0.250 0.750 1
O1 O 0.018 0.250 0.750 1
```

Peak list (8 most intense, 2θ from 15° to 90°, low angle first)
| Position (°2θ) | intensity |
| --- | --- |
| 18.19 | 6 |
| 29.92 | 100 |
| 42.82 | 31 |
| 53.12 | 40 |
| 62.17 | 19 |
| 70.51 | 18 |
| 78.44 | 6 |
| 86.15 | 22 |


Entry 4:
Computed powder XRD pattern
Compound: BaSrSmSeO6
Radiation: Cu Ka
Structure: DFT lattice parameters and positions (PBE)
Kinematic intensities with the Lorentz-polarization factor, no thermal factor.

Crystal structure
```
data_BaSrSmSeO6
_chemical_formula_sum 'Ba2 Sr2 Sm2 Se2 O12'
_symmetry_space_group_name_H-M 'P -1'
_symmetry_Int_Tables_number 2
_cell_length_a 5.958
_cell_length_b 5.965
_cell_length_c 8.414
_cell_angle_alpha 90.39
_cell_angle_beta 90.36
_cell_angle_gamma 90.25
loop_
_symmetry_equiv_pos_as_xyz
'x,y,z'
'-x,-y,-z'
loop_
_atom_site_label
_atom_site_type_symbol
_atom_site_fract_x
_atom_site_fract_y
_atom_site_fract_z
_atom_site_occupancy
Ba1 Ba 0.005 0.016 0.248 1
Sr1 Sr 0.496 0.527 0.248 1
Sm1 Sm 0.000 0.500 0.500 1
Sm2 Sm 0.500 0.000 0.000 1
Se1 Se 0.000 0.500 0.000 1
Se2 Se 0.500 0.000 0.500 1
O1 O 0.063 0.496 0.766 1
O2 O 0.212 0.755 0.027 1
O3 O 0.250 0.793 0.479 1
O4 O 0.261 0.294 0.034 1
O5 O 0.300 0.256 0.470 1
O6 O 0.457 0.022 0.727 1
```

Peak list (8 most intense, 2θ from 15° to 90°, low angle first)
| Position (°2θ) | intensity |
| --- | --- |
| 29.96 | 100 |
| 30.18 | 19 |
| 42.81 | 12 |
| 43.00 | 23 |
| 53.12 | 25 |
| 53.27 | 8 |
| 53.48 | 16 |
| 62.29 | 14 |


Entry 5:
Computed powder XRD pattern
Compound: BaSrSmSeO6
Radiation: Cu Ka
Structure: DFT lattice parameters and positions (PBE)
Kinematic intensities with the Lorentz-polarization factor, no thermal factor.

Crystal structure
```
data_BaSrSmSeO6
_chemical_formula_sum 'Ba4 Sr4 Sm4 Se4 O24'
_symmetry_space_group_name_H-M 'P 2 2 2'
_symmetry_Int_Tables_number 16
_cell_length_a 8.414
_cell_length_b 8.424
_cell_length_c 8.431
_cell_angle_alpha 90.00
_cell_angle_beta 90.00
_cell_angle_gamma 90.00
loop_
_symmetry_equiv_pos_as_xyz
'x,y,z'
'-x,-y,z'
'x,-y,-z'
'-x,y,-z'
loop_
_atom_site_label
_atom_site_type_symbol
_atom_site_fract_x
_atom_site_fract_y
_atom_site_fract_z
_atom_site_occupancy
Ba1 Ba 0.000 0.000 0.000 1
Ba2 Ba 0.000 0.500 0.000 1
Ba3 Ba 0.500 0.000 0.000 1
Ba4 Ba 0.500 0.500 0.500 1
Sr1 Sr 0.000 0.000 0.500 1
Sr2 Sr 0.000 0.500 0.500 1
Sr3 Sr 0.500 0.000 0.500 1
Sr4 Sr 0.500 0.500 0.000 1
Sm1 Sm 0.251 0.250 0.252 1
Se1 Se 0.247 0.252 0.744 1
O1 O 0.020 0.272 0.762 1
O2 O 0.224 0.019 0.720 1
O3 O 0.225 0.279 0.520 1
O4 O 0.266 0.231 0.983 1
O5 O 0.277 0.481 0.772 1
O6 O 0.482 0.223 0.721 1
```

Peak list (8 most intense, 2θ from 15° to 90°, low angle first)
| Position (°2θ) | intensity |
| --- | --- |
| 30.01 | 100 |
| 42.95 | 30 |
| 53.28 | 42 |
| 62.36 | 18 |
| 70.71 | 12 |
| 70.82 | 6 |
| 86.43 | 15 |
| 86.52 | 7 |


Entry 6:
Computed powder XRD pattern
Compound: BaSrTbSeO6
Radiation: Cu Ka
Structure: DFT lattice parameters and positions (PBE)
Kinematic intensities with the Lorentz-polarization factor, no thermal factor.

Crystal structure
```
data_BaSrTbSeO6
_chemical_formula_sum 'Ba4 Sr4 Tb4 Se4 O24'
_symmetry_space_group_name_H-M 'F -4 3 m'
_symmetry_Int_Tables_number 216
_symmetry_space_group_name_Hall 'F -4 2 3'
_cell_length_a 8.368
_cell_length_b 8.368
_cell_length_c 8.368
_cell_angle_alpha 90.00
_cell_angle_beta 90.00
_cell_angle_gamma 90.00
loop_
_atom_site_label
_atom_site_type_symbol
_atom_site_fract_x
_atom_site_fract_y
_atom_site_fract_z
_atom_site_occupancy
Ba1 Ba 0.000 0.000 0.000 1
Sr1 Sr 0.000 0.000 0.500 1
Tb1 Tb 0.250 0.250 0.250 1
Se1 Se 0.250 0.250 0.750 1
O1 O 0.016 0.250 0.750 1
```

Peak list (8 most intense, 2θ from 15° to 90°, low angle first)
| Position (°2θ) | intensity |
| --- | --- |
| 18.36 | 8 |
| 30.21 | 100 |
| 43.25 | 31 |
| 53.66 | 40 |
| 62.82 | 19 |
| 71.27 | 18 |
| 79.32 | 6 |
| 87.16 | 22 |